Theoretical PXRD pattern
Compound: CoMo2S4
Radiation: a wavelength of 1.5418 Å
Structure: a structure optimized by DFT (GGA-PBE)
Intensities are scaled so that the largest is 100.

Peak list (10 most intense, 2θ from 10° to 90°, sorted by position)
15.79 deg, rel. 63
17.36 deg, rel. 47
30.16 deg, rel. 22
31.64 deg, rel. 54
35.11 deg, rel. 100
42.63 deg, rel. 24
44.80 deg, rel. 42
46.27 deg, rel. 68
47.26 deg, rel. 41
54.51 deg, rel. 27

Structure:
```
data_CoMo2S4
_chemical_formula_sum 'Co4 Mo8 S16'
_cell_length_a 6.7532
_cell_length_b 6.7532
_cell_length_c 12.3813
_cell_angle_alpha 111.77
_cell_angle_beta 111.77
_cell_angle_gamma 56.90
_space_group_name_H-M_alt 'P 1'
_space_group_IT_number 1
loop_
_space_group_symop_operation_xyz
'x,y,z'
loop_
_atom_site_label
_atom_site_fract_x
_atom_site_fract_y
_atom_site_fract_z
_atom_site_occupancy
Co1 0.1237 0.8763 0.5000 1
Co2 0.3710 0.6215 0.0003 1
Co3 0.6215 0.3710 0.5003 1
Co4 0.8763 0.1237 0.0000 1
Mo1 0.0296 0.2885 0.2582 1
Mo2 0.2049 0.4732 0.7365 1
Mo3 0.2885 0.0296 0.7582 1
Mo4 0.4732 0.2049 0.2365 1
Mo5 0.5345 0.7761 0.2571 1
Mo6 0.7255 0.9563 0.7372 1
Mo7 0.7761 0.5345 0.7571 1
Mo8 0.9563 0.7255 0.2372 1
S1 0.0910 0.3422 0.0982 1
S2 0.1103 0.8648 0.1303 1
S3 0.1379 0.8848 0.8668 1
S4 0.1561 0.4086 0.8983 1
S5 0.3422 0.0910 0.5982 1
S6 0.3573 0.6138 0.6287 1
S7 0.3828 0.6327 0.3632 1
S8 0.4086 0.1561 0.3983 1
S9 0.5852 0.8338 0.0934 1
S10 0.6138 0.3573 0.1287 1
S11 0.6327 0.3828 0.8632 1
S12 0.6630 0.9095 0.9002 1
S13 0.8338 0.5852 0.5934 1
S14 0.8648 0.1103 0.6303 1
S15 0.8848 0.1379 0.3668 1
S16 0.9095 0.6630 0.4002 1
```